Theoretical powder diffraction line list of Ce2SeNF2 for a wavelength of 1.5418 Å, from the PBE geometry in Alexandria.
Intensities are scaled so that the largest is 100.

Crystal structure
Cell lengths 3.8492, 8.1874, 6.9836 Å; angles 90.00, 90.00, 90.00 degrees
Space group Pmc2_1 (No. 26)
Symmetry-distinct sites (fractional):
Ce (0.0000, 0.1937, 0.0000)
Ce (0.5000, 0.2964, 0.5476)
Se (0.0000, 0.4867, 0.2676)
N (0.5000, 0.1961, 0.8351)
F (0.0000, 0.1116, 0.5229)
F (0.5000, 0.1662, 0.2324)

Top 6 peaks for 2θ from 10° to 90°, in order of rising 2θ:
Position (°2θ), intensity, index
25.22, 28, 0 2 1
28.64, 100, 1 1 1
33.74, 42, 0 2 2
36.43, 34, 1 1 2
40.52, 28, 1 3 0
46.95, 28, 1 1 3

=====

Theoretical powder diffraction line list of MgZn2In2 for a wavelength of 1.5418 Å, from the PBE geometry in Alexandria.
Intensities are scaled so that the largest is 100.

Crystal structure
Cell lengths 4.1305, 4.1305, 13.1338 Å; angles 90.00, 90.00, 90.00 degrees
Space group I4/mmm (No. 139)
Symmetry-distinct sites (fractional):
Mg (0.0000, 0.0000, 0.0000)
Zn (0.0000, 0.5000, 0.2500)
In (0.0000, 0.0000, 0.3911)

Top 6 peaks for 2θ from 10° to 90°, in order of rising 2θ:
Position (°2θ), intensity, index
22.57, 100, 1 0 1
29.74, 38, 1 0 3
33.58, 71, 1 1 2
40.71, 55, 1 0 5
41.37, 93, 1 1 4
43.84, 58, 2 0 0

=====

Theoretical powder diffraction line list of PrNdDy2Ho5 for a wavelength of 1.5418 Å, from the PBE geometry in Alexandria.
Intensities are scaled so that the largest is 100.

Crystal structure
Cell lengths 8.8615, 8.8615, 14.9633 Å; angles 90.00, 90.00, 90.00 degrees
Space group I4/mcm (No. 140)
Symmetry-distinct sites (fractional):
Pr (0.0000, 0.0000, 0.2500)
Nd (0.0000, 0.5000, 0.2500)
Dy (0.1146, 0.3854, 0.0000)
Ho (0.0000, 0.0000, 0.0000)
Ho (0.2039, 0.2961, 0.3678)

Top 6 peaks for 2θ from 10° to 90°, in order of rising 2θ:
Position (°2θ), intensity, index
28.49, 50, 2 2 0
28.77, 55, 2 1 3
31.29, 100, 2 0 4
37.07, 21, 3 2 1
37.67, 18, 2 1 5
42.52, 25, 4 0 2